# 1
Starting from a PBE-relaxed structure, the PXRD pattern of Cs2RbRuI6 was computed for Cu Kα, 1.54184 Å.

```
Cs2RbRuI6
1.0
8.3556 0.0000 0.0000
0.0000 12.3884 0.0000
0.0000 0.0000 9.4686
Cs Rb Ru I
4 2 2 12
Direct
0.2500 0.0255 0.2018 Cs
0.2500 0.4745 0.2018 Cs
0.7500 0.5255 0.7982 Cs
0.7500 0.9745 0.7982 Cs
0.2500 0.2500 0.7004 Rb
0.7500 0.7500 0.2996 Rb
0.2500 0.7500 0.7926 Ru
0.7500 0.2500 0.2074 Ru
0.0182 0.7500 0.5900 I
0.0213 0.7500 0.9996 I
0.2500 0.5296 0.7913 I
0.2500 0.9704 0.7913 I
0.4787 0.7500 0.9996 I
0.4818 0.7500 0.5900 I
0.5182 0.2500 0.4100 I
0.5213 0.2500 0.0004 I
0.7500 0.0296 0.2087 I
0.7500 0.4704 0.2087 I
0.9787 0.2500 0.0004 I
0.9818 0.2500 0.4100 I
```

Peak list (12 most intense, 2θ from 10° to 90°, by angle)
2θ (°)	intensity
11.76	51
23.65	66
25.72	89
28.49	100
28.83	65
29.41	29
31.85	56
35.65	27
40.98	59
43.32	25
52.86	25
55.29	30

# 2
Starting from a PBE-relaxed structure, the PXRD pattern of LiTl2ReS4 was computed for Cu Kα, 1.54184 Å.

```
LiTl2ReS4
1.0
7.2829 0.0000 0.0000
0.0000 7.2829 0.0000
0.0000 0.0000 8.1334
Li Tl Re S
2 4 2 8
Direct
0.0000 0.0000 0.0000 Li
0.5000 0.5000 0.5000 Li
0.0000 0.0000 0.5000 Tl
0.0000 0.5000 0.7500 Tl
0.5000 0.0000 0.2500 Tl
0.5000 0.5000 0.0000 Tl
0.0000 0.5000 0.2500 Re
0.5000 0.0000 0.7500 Re
0.1412 0.7100 0.0972 S
0.2100 0.3588 0.4028 S
0.2900 0.1412 0.9028 S
0.3588 0.7900 0.5972 S
0.6412 0.2100 0.5972 S
0.7100 0.8588 0.9028 S
0.7900 0.6412 0.4028 S
0.8588 0.2900 0.0972 S
```

Peak list (12 most intense, 2θ from 10° to 90°, by angle)
2θ (°)	intensity
16.34	30
17.22	19
24.44	53
27.96	100
29.54	29
34.84	31
45.25	58
51.47	22
56.51	17
57.78	13
58.35	12
69.79	15

# 3
Starting from a PBE-relaxed structure, the PXRD pattern of LiHo6Se5 was computed for Cu Kα, 1.54184 Å.

```
LiHo6Se5
1.0
6.7859 0.0000 0.0000
-3.3930 5.8768 0.0000
0.0000 0.0000 14.2289
Li Ho Se
2 12 10
Direct
0.0000 0.0000 0.2500 Li
0.0000 0.0000 0.7500 Li
0.0000 0.3252 0.1141 Ho
0.0000 0.3252 0.3859 Ho
0.0000 0.6748 0.6141 Ho
0.0000 0.6748 0.8859 Ho
0.3252 0.0000 0.1141 Ho
0.3252 0.0000 0.3859 Ho
0.3252 0.3252 0.6141 Ho
0.3252 0.3252 0.8859 Ho
0.6748 0.0000 0.6141 Ho
0.6748 0.0000 0.8859 Ho
0.6748 0.6748 0.1141 Ho
0.6748 0.6748 0.3859 Ho
0.0000 0.3496 0.7500 Se
0.0000 0.6504 0.2500 Se
0.3333 0.6667 0.0000 Se
0.3333 0.6667 0.5000 Se
0.3496 0.0000 0.7500 Se
0.3496 0.3496 0.2500 Se
0.6504 0.0000 0.2500 Se
0.6504 0.6504 0.7500 Se
0.6667 0.3333 0.0000 Se
0.6667 0.3333 0.5000 Se
```

Peak list (12 most intense, 2θ from 10° to 90°, by angle)
2θ (°)	intensity
25.03	11
26.27	20
27.02	23
32.44	100
36.60	23
41.41	20
46.35	42
52.48	11
57.71	19
71.67	18
77.03	16
79.26	10

# 4
Starting from a PBE-relaxed structure, the PXRD pattern of CuReMo was computed for Cu Kα, 1.54184 Å.

```
CuReMo
1.0
2.6061 0.0000 0.0000
0.0000 4.1091 0.0000
0.0000 0.0000 8.1112
Cu Re Mo
2 2 2
Direct
0.0000 0.0000 0.0000 Cu
0.5000 0.5000 0.5000 Cu
0.0000 0.0000 0.3388 Re
0.5000 0.5000 0.8388 Re
0.0000 0.0000 0.6659 Mo
0.5000 0.5000 0.1659 Mo
```

Peak list (12 most intense, 2θ from 10° to 90°, by angle)
2θ (°)	intensity
21.92	18
24.28	32
36.20	12
39.91	100
41.01	93
44.08	38
48.52	57
67.62	41
78.24	14
78.96	13
84.02	23
86.14	33

# 5
Starting from a PBE-relaxed structure, the PXRD pattern of MgCuP2O7 was computed for Cu Kα, 1.54184 Å.

```
MgCuP2O7
1.0
6.9607 0.0000 0.0000
0.0000 8.3119 0.0000
-3.4125 0.0000 8.4991
Mg Cu P O
4 4 8 28
Direct
0.2355 0.0688 0.1072 Mg
0.2355 0.4312 0.6072 Mg
0.7645 0.5688 0.3928 Mg
0.7645 0.9312 0.8928 Mg
0.2814 0.0575 0.6551 Cu
0.2814 0.4425 0.1551 Cu
0.7186 0.5575 0.8449 Cu
0.7186 0.9425 0.3449 Cu
0.0533 0.7299 0.7373 P
0.0533 0.7701 0.2373 P
0.4522 0.7256 0.0242 P
0.4522 0.7744 0.5242 P
0.5478 0.2256 0.4758 P
0.5478 0.2744 0.9758 P
0.9467 0.2299 0.7627 P
0.9467 0.2701 0.2627 P
0.0155 0.5970 0.6145 O
0.0155 0.9030 0.1145 O
0.1010 0.6074 0.1850 O
0.1010 0.8926 0.6850 O
0.1266 0.2409 0.7018 O
0.1266 0.2591 0.2018 O
0.2456 0.6633 0.8867 O
0.2456 0.8367 0.3867 O
0.3793 0.2344 0.5483 O
0.3793 0.2656 0.0483 O
0.4189 0.6117 0.5849 O
0.4189 0.8883 0.0849 O
0.4981 0.5901 0.1485 O
0.4981 0.9099 0.6485 O
0.5019 0.0901 0.3515 O
0.5019 0.4099 0.8515 O
0.5811 0.1117 0.9151 O
0.5811 0.3883 0.4151 O
0.6207 0.7344 0.9517 O
0.6207 0.7656 0.4517 O
0.7544 0.1633 0.6133 O
0.7544 0.3367 0.1133 O
0.8734 0.7409 0.7982 O
0.8734 0.7591 0.2982 O
0.8990 0.1074 0.3150 O
0.8990 0.3926 0.8150 O
0.9845 0.0970 0.8855 O
0.9845 0.4030 0.3855 O
```

Peak list (12 most intense, 2θ from 10° to 90°, by angle)
2θ (°)	intensity
14.91	14
22.82	31
23.83	12
29.14	99
29.64	100
29.82	59
33.42	19
35.20	45
43.12	28
45.09	13
48.09	19
58.73	22

# 6
Starting from a PBE-relaxed structure, the PXRD pattern of La12TlCd6 was computed for Cu Kα, 1.54184 Å.

```
La12TlCd6
1.0
5.9099 3.4121 4.9478
-5.9099 3.4121 4.9478
0.0000 -6.8241 4.9478
La Tl Cd
12 1 6
Direct
0.0286 0.3111 0.9497 La
0.0503 0.9714 0.6889 La
0.1188 0.3524 0.4745 La
0.3111 0.9497 0.0286 La
0.3524 0.4745 0.1188 La
0.4745 0.1188 0.3524 La
0.5255 0.8812 0.6476 La
0.6476 0.5255 0.8812 La
0.6889 0.0503 0.9714 La
0.8812 0.6476 0.5255 La
0.9497 0.0286 0.3111 La
0.9714 0.6889 0.0503 La
0.5000 0.5000 0.5000 Tl
0.2406 0.6129 0.7586 Cd
0.2414 0.7594 0.3871 Cd
0.3871 0.2414 0.7594 Cd
0.6129 0.7586 0.2406 Cd
0.7586 0.2406 0.6129 Cd
0.7594 0.3871 0.2414 Cd
```

Peak list (12 most intense, 2θ from 10° to 90°, by angle)
2θ (°)	intensity
23.77	18
31.37	58
31.86	55
32.10	100
33.46	66
33.80	64
35.38	19
40.36	13
54.89	17
55.42	17
56.06	17
59.40	22

# 7
Starting from a PBE-relaxed structure, the PXRD pattern of PrHo4Ga4 was computed for Cu Kα, 1.54184 Å.

```
PrHo4Ga4
1.0
-4.9730 4.9730 2.4364
4.9730 -4.9730 2.4364
4.9730 4.9730 -2.4364
Pr Ho Ga
1 4 4
Direct
0.0000 0.0000 0.0000 Pr
0.1271 0.6419 0.7691 Ho
0.3581 0.1271 0.4852 Ho
0.6419 0.8729 0.5148 Ho
0.8729 0.3581 0.2309 Ho
0.3219 0.4245 0.7464 Ga
0.4245 0.6781 0.1027 Ga
0.5755 0.3219 0.8973 Ga
0.6781 0.5755 0.2536 Ga
```

Peak list (12 most intense, 2θ from 10° to 90°, by angle)
2θ (°)	intensity
27.14	100
28.38	41
32.67	15
36.12	18
36.89	33
37.46	70
41.78	20
47.19	21
52.59	13
53.02	13
59.65	13
66.84	13

# 8
Starting from a PBE-relaxed structure, the PXRD pattern of PaHg3Se2I6 was computed for Cu Kα, 1.54184 Å.

```
PaHg3Se2I6
1.0
8.3960 -4.1142 0.0000
8.3960 4.1142 0.0000
-3.0790 0.0000 7.6942
Pa Hg Se I
1 3 2 6
Direct
0.0000 0.0000 0.0000 Pa
0.0000 0.5000 0.5000 Hg
0.5000 0.0000 0.5000 Hg
0.5000 0.5000 0.5000 Hg
0.3296 0.3296 0.4395 Se
0.6704 0.6704 0.5605 Se
0.0798 0.0798 0.3891 I
0.1304 0.6282 0.0158 I
0.3718 0.8696 0.9842 I
0.6282 0.1304 0.0158 I
0.8696 0.3718 0.9842 I
0.9202 0.9202 0.6109 I
```

Peak list (12 most intense, 2θ from 10° to 90°, by angle)
2θ (°)	intensity
12.82	37
15.24	49
19.87	23
23.12	100
24.48	71
28.73	28
29.28	22
30.59	77
30.76	25
40.61	33
44.02	27
50.30	27

# 9
Starting from a PBE-relaxed structure, the PXRD pattern of PPb3O6 was computed for Cu Kα, 1.54184 Å.

```
PPb3O6
1.0
4.7135 -6.0402 0.0000
4.7135 6.0402 0.0000
0.0000 0.0000 5.8096
P Pb O
2 6 12
Direct
0.2039 0.7961 0.5000 P
0.7961 0.2039 0.0000 P
0.0919 0.3052 0.5271 Pb
0.3052 0.0919 0.0271 Pb
0.4089 0.5911 0.0314 Pb
0.5911 0.4089 0.5314 Pb
0.6948 0.9081 0.5271 Pb
0.9081 0.6948 0.0271 Pb
0.0771 0.9229 0.4598 O
0.1203 0.6099 0.3810 O
0.2316 0.7684 0.7629 O
0.3451 0.3573 0.7774 O
0.3573 0.3451 0.2774 O
0.3901 0.8797 0.3810 O
0.6099 0.1203 0.8810 O
0.6427 0.6549 0.7774 O
0.6549 0.6427 0.2774 O
0.7684 0.2316 0.2629 O
0.8797 0.3901 0.8810 O
0.9229 0.0771 0.9598 O
```

Peak list (12 most intense, 2θ from 10° to 90°, by angle)
2θ (°)	intensity
19.39	11
28.53	100
29.37	16
29.58	10
30.78	18
38.65	9
43.06	17
43.21	12
47.48	13
53.36	17
56.14	13
57.65	10

# 10
Starting from a PBE-relaxed structure, the PXRD pattern of NaTaPdO4 was computed for Cu Kα, 1.54184 Å.

```
NaTaPdO4
1.0
-2.9634 3.0317 5.4361
2.9634 -3.0317 5.4361
2.9634 3.0317 -5.4361
Na Ta Pd O
2 2 2 8
Direct
0.4123 0.1623 0.2500 Na
0.5877 0.8377 0.7500 Na
0.0000 0.5000 0.5000 Ta
0.5000 0.5000 0.0000 Ta
0.0000 0.0000 0.5000 Pd
0.0000 0.5000 0.0000 Pd
0.1541 0.6883 0.4658 O
0.2694 0.3020 0.5326 O
0.2694 0.7368 0.9674 O
0.2776 0.3117 0.9658 O
0.7224 0.6883 0.0342 O
0.7306 0.2632 0.0326 O
0.7306 0.6980 0.4674 O
0.8459 0.3117 0.5342 O
```

Peak list (12 most intense, 2θ from 10° to 90°, by angle)
2θ (°)	intensity
16.74	25
17.04	100
28.70	13
28.88	26
32.95	26
33.85	32
34.23	40
34.47	25
34.69	14
42.67	29
54.17	12
54.94	28

# 11
Starting from a PBE-relaxed structure, the PXRD pattern of Nb2Ga3Ni4 was computed for Cu Kα, 1.54184 Å.

```
Nb2Ga3Ni4
1.0
2.5340 -7.0252 0.0000
2.5340 7.0252 0.0000
0.0000 0.0000 6.9937
Nb Ga Ni
4 6 8
Direct
0.0922 0.9078 0.8997 Nb
0.4078 0.5922 0.3997 Nb
0.5922 0.4078 0.6003 Nb
0.9078 0.0922 0.1003 Nb
0.0000 0.0000 0.5000 Ga
0.0069 0.4931 0.7500 Ga
0.4931 0.0069 0.2500 Ga
0.5000 0.5000 0.0000 Ga
0.5069 0.9931 0.7500 Ga
0.9931 0.5069 0.2500 Ga
0.1723 0.8277 0.5087 Ni
0.1801 0.3199 0.7500 Ni
0.3199 0.1801 0.2500 Ni
0.3277 0.6723 0.0087 Ni
0.6723 0.3277 0.9913 Ni
0.6801 0.8199 0.7500 Ni
0.8199 0.6801 0.2500 Ni
0.8277 0.1723 0.4913 Ni
```

Peak list (12 most intense, 2θ from 10° to 90°, by angle)
2θ (°)	intensity
36.65	33
38.84	80
39.96	39
40.78	33
43.20	21
44.13	100
46.04	17
46.70	51
50.63	16
65.88	16
74.96	13
77.92	37